No. 1
For Li4Ti5Cr3O16, DFT lattice parameters and positions (PBE+U) gives the computed powder diffraction line list in this record (Cu Kα (weighted mean of Kα1 and Kα2)).

Crystal structure
Lattice parameters (Å, degrees): 10.262 5.927 9.560 90.00 90.10 90.00
Space group Cm (No. 8)
Asymmetric unit:
Li 0.000 0.000 0.000 [2 per cell]
Li 0.000 0.000 0.497 [2 per cell]
Li 0.166 0.500 0.902 [2 per cell]
Li 0.335 0.000 0.398 [2 per cell]
Ti 0.159 0.500 0.495 [2 per cell]
Ti 0.325 0.500 0.227 [2 per cell]
Ti 0.332 0.000 0.001 [2 per cell]
Ti 0.410 0.246 0.722 [4 per cell]
Cr 0.084 0.255 0.215 [4 per cell]
Cr 0.170 0.000 0.715 [2 per cell]
O 0.000 0.000 0.812 [2 per cell]
O 0.022 0.500 0.345 [2 per cell]
O 0.081 0.252 0.599 [4 per cell]
O 0.168 0.000 0.098 [2 per cell]
O 0.172 0.500 0.107 [2 per cell]
O 0.243 0.280 0.345 [4 per cell]
O 0.261 0.222 0.843 [4 per cell]
O 0.332 0.500 0.601 [2 per cell]
O 0.337 0.000 0.607 [2 per cell]
O 0.414 0.249 0.099 [4 per cell]
O 0.480 0.000 0.845 [2 per cell]
O 0.497 0.500 0.310 [2 per cell]

Largest 10 diffraction maxima, by angle, 2θ = 10–80°:
(0 0 2), d = 4.780 Å, 18.56°, intensity 64
(2 0 -1), d = 4.522 Å, 19.63°, intensity 100
(1 1 2), d = 3.497 Å, 25.47°, intensity 29
(2 0 -3), d = 2.707 Å, 33.09°, intensity 37
(0 2 2), d = 2.518 Å, 35.65°, intensity 48
(2 2 -1), d = 2.478 Å, 36.25°, intensity 49
(4 0 2), d = 2.261 Å, 39.88°, intensity 47
(4 0 3), d = 1.999 Å, 45.38°, intensity 64
(2 2 5), d = 1.533 Å, 60.36°, intensity 38
(0 4 0), d = 1.481 Å, 62.72°, intensity 43



No. 2
For MnCo3O8, DFT lattice parameters and positions (PBE+U) gives the computed powder diffraction line list in this record (Cu Kα (weighted mean of Kα1 and Kα2)).

Crystal structure
Lattice parameters (Å, degrees): 5.6307 5.6307 14.1168 90.00 90.00 120.00
Space group R-3m (No. 166, hexagonal axes)
Asymmetric unit:
Mn 0.0000 0.0000 0.0000 [3 per cell]
Co 0.0000 0.5000 0.5000 [9 per cell]
O 0.0000 0.0000 0.2353 [6 per cell]
O 0.0372 0.5186 0.7574 [18 per cell]

Largest 10 diffraction maxima, by angle, 2θ = 10–80°:
(0 0 3), d = 4.706 Å, 18.86°, intensity 44
(1 0 1), d = 4.609 Å, 19.26°, intensity 100
(0 1 5), d = 2.443 Å, 36.78°, intensity 12
(1 1 3), d = 2.416 Å, 37.22°, intensity 24
(0 2 1), d = 2.403 Å, 37.43°, intensity 14
(2 0 2), d = 2.305 Å, 39.09°, intensity 12
(0 2 4), d = 2.006 Å, 45.20°, intensity 68
(1 2 5), d = 1.543 Å, 59.94°, intensity 9
(2 0 8), d = 1.429 Å, 65.27°, intensity 18
(2 2 0), d = 1.408 Å, 66.41°, intensity 17



No. 3
For NaFe9Si6B3H2O31, DFT lattice parameters and positions (PBE+U) gives the computed powder diffraction line list in this record (Cu Kα (weighted mean of Kα1 and Kα2)).

Crystal structure
Lattice parameters (Å, degrees): 7.616 9.804 9.806 113.72 104.86 104.79
Space group P1 (No. 1)
Asymmetric unit:
Na 0.000 0.000 0.000 [1 per cell]
Fe 0.112 0.435 0.780 [1 per cell]
Fe 0.114 0.784 0.456 [1 per cell]
Fe 0.328 0.211 0.668 [1 per cell]
Fe 0.338 0.998 0.818 [1 per cell]
Fe 0.339 0.663 0.237 [1 per cell]
Fe 0.347 0.820 0.007 [1 per cell]
Fe 0.524 0.183 0.190 [1 per cell]
Fe 0.671 0.331 0.569 [1 per cell]
Fe 0.676 0.558 0.342 [1 per cell]
Si 0.572 0.619 0.821 [1 per cell]
Si 0.574 0.811 0.634 [1 per cell]
Si 0.758 0.808 0.194 [1 per cell]
Si 0.762 0.184 0.821 [1 per cell]
Si 0.948 0.189 0.384 [1 per cell]
Si 0.952 0.378 0.200 [1 per cell]
B 0.324 0.994 0.331 [1 per cell]
B 0.326 0.325 0.006 [1 per cell]
B 0.999 0.669 0.680 [1 per cell]
H 0.022 0.618 0.009 [1 per cell]
H 0.407 0.388 0.399 [1 per cell]
O 0.028 0.273 0.283 [1 per cell]
O 0.118 0.278 0.569 [1 per cell]
O 0.122 0.562 0.290 [1 per cell]
O 0.127 0.813 0.823 [1 per cell]
O 0.148 0.611 0.008 [1 per cell]
O 0.161 0.998 0.624 [1 per cell]
O 0.266 0.852 0.337 [1 per cell]
O 0.268 0.331 0.864 [1 per cell]
O 0.301 0.988 0.184 [1 per cell]
O 0.307 0.179 0.001 [1 per cell]
O 0.361 0.620 0.832 [1 per cell]
O 0.361 0.816 0.630 [1 per cell]
O 0.407 0.142 0.476 [1 per cell]
O 0.409 0.470 0.154 [1 per cell]
O 0.522 0.986 0.991 [1 per cell]
O 0.536 0.796 0.182 [1 per cell]
O 0.539 0.395 0.405 [1 per cell]
O 0.543 0.178 0.812 [1 per cell]
O 0.553 0.432 0.725 [1 per cell]
O 0.558 0.718 0.447 [1 per cell]
O 0.646 0.718 0.731 [1 per cell]
O 0.741 0.201 0.389 [1 per cell]
O 0.745 0.382 0.210 [1 per cell]
O 0.752 0.721 0.007 [1 per cell]
O 0.752 0.997 0.740 [1 per cell]
O 0.837 0.719 0.290 [1 per cell]
O 0.838 0.279 0.729 [1 per cell]
O 0.919 0.998 0.281 [1 per cell]
O 0.927 0.276 0.010 [1 per cell]
O 0.935 0.524 0.681 [1 per cell]
O 0.936 0.667 0.534 [1 per cell]

Largest 10 diffraction maxima, by angle, 2θ = 10–80°:
(1 0 0), d = 6.713 Å, 13.19°, intensity 100
(-1 1 1), d = 5.196 Å, 17.06°, intensity 45
(0 1 1), d = 4.739 Å, 18.73°, intensity 54
(1 1 0), d = 4.396 Å, 20.20°, intensity 29
(0 2 -2), d = 4.104 Å, 21.65°, intensity 68
(-2 1 1), d = 3.678 Å, 24.20°, intensity 56
(2 1 -1), d = 3.111 Å, 28.69°, intensity 45
(1 -2 3), d = 2.667 Å, 33.61°, intensity 88
(-1 2 2), d = 2.658 Å, 33.73°, intensity 44
(2 3 -3), d = 2.124 Å, 42.56°, intensity 43



No. 4
For CoP4O12, DFT lattice parameters and positions (PBE+U) gives the computed powder diffraction line list in this record (Cu Kα (weighted mean of Kα1 and Kα2)).

Crystal structure
Lattice parameters (Å, degrees): 8.194 11.508 9.474 90.00 93.29 90.00
Space group C2/c (No. 15)
Asymmetric unit:
Co 0.000 0.112 0.250 [4 per cell]
P 0.044 0.326 0.036 [8 per cell]
P 0.240 0.034 0.530 [8 per cell]
O 0.004 0.275 0.605 [8 per cell]
O 0.099 0.404 0.400 [8 per cell]
O 0.102 0.237 0.146 [8 per cell]
O 0.132 0.006 0.648 [8 per cell]
O 0.173 0.106 0.407 [8 per cell]
O 0.192 0.416 0.036 [8 per cell]

Largest 10 diffraction maxima, by angle, 2θ = 10–80°:
(1 1 -1), d = 5.574 Å, 15.90°, intensity 81
(1 1 1), d = 5.333 Å, 16.62°, intensity 93
(0 0 2), d = 4.729 Å, 18.76°, intensity 70
(1 1 2), d = 3.775 Å, 23.57°, intensity 99
(2 2 0), d = 3.334 Å, 26.74°, intensity 100
(1 3 -1), d = 3.286 Å, 27.14°, intensity 91
(2 2 -1), d = 3.190 Å, 27.97°, intensity 53
(1 3 -2), d = 2.832 Å, 31.59°, intensity 65
(2 2 -2), d = 2.787 Å, 32.12°, intensity 49
(0 2 3), d = 2.765 Å, 32.38°, intensity 43



No. 5
For MgW2O4, DFT lattice parameters and positions (PBE+U) gives the computed powder diffraction line list in this record (Cu Kα (weighted mean of Kα1 and Kα2)).

Crystal structure
Lattice parameters (Å, degrees): 6.338 6.499 15.376 92.07 90.19 119.14
Space group P1 (No. 1)
Asymmetric unit:
Mg 0.000 0.000 0.000 [1 per cell]
Mg 0.005 0.003 0.382 [1 per cell]
Mg 0.011 0.014 0.626 [1 per cell]
Mg 0.337 0.672 0.960 [1 per cell]
Mg 0.666 0.328 0.297 [1 per cell]
Mg 0.675 0.344 0.669 [1 per cell]
W 0.007 0.509 0.508 [1 per cell]
W 0.159 0.322 0.169 [1 per cell]
W 0.160 0.823 0.171 [1 per cell]
W 0.335 0.663 0.339 [1 per cell]
W 0.340 0.174 0.839 [1 per cell]
W 0.345 0.686 0.719 [1 per cell]
W 0.511 0.509 0.508 [1 per cell]
W 0.512 0.016 0.506 [1 per cell]
W 0.659 0.335 0.049 [1 per cell]
W 0.662 0.825 0.170 [1 per cell]
W 0.843 0.174 0.839 [1 per cell]
W 0.843 0.679 0.837 [1 per cell]
O 0.001 0.004 0.247 [1 per cell]
O 0.004 0.000 0.762 [1 per cell]
O 0.013 0.506 0.250 [1 per cell]
O 0.162 0.314 0.925 [1 per cell]
O 0.173 0.858 0.917 [1 per cell]
O 0.176 0.823 0.425 [1 per cell]
O 0.183 0.358 0.422 [1 per cell]
O 0.305 0.130 0.094 [1 per cell]
O 0.322 0.647 0.094 [1 per cell]
O 0.355 0.701 0.581 [1 per cell]
O 0.362 0.195 0.586 [1 per cell]
O 0.485 0.971 0.255 [1 per cell]
O 0.495 0.505 0.248 [1 per cell]
O 0.502 0.481 0.761 [1 per cell]
O 0.530 0.052 0.748 [1 per cell]
O 0.655 0.823 0.425 [1 per cell]
O 0.671 0.334 0.429 [1 per cell]
O 0.688 0.366 0.913 [1 per cell]
O 0.689 0.855 0.916 [1 per cell]
O 0.819 0.134 0.093 [1 per cell]
O 0.833 0.657 0.592 [1 per cell]
O 0.842 0.197 0.586 [1 per cell]
O 0.850 0.701 0.079 [1 per cell]
O 0.988 0.481 0.762 [1 per cell]

Largest 10 diffraction maxima, by angle, 2θ = 10–80°:
(1 -1 1), d = 5.243 Å, 16.91°, intensity 63
(0 0 3), d = 5.121 Å, 17.32°, intensity 98
(0 2 -1), d = 2.810 Å, 31.84°, intensity 49
(1 -2 3), d = 2.789 Å, 32.09°, intensity 38
(-2 2 1), d = 2.713 Å, 33.02°, intensity 100
(2 -1 3), d = 2.696 Å, 33.23°, intensity 76
(-1 1 5), d = 2.662 Å, 33.66°, intensity 41
(0 2 2), d = 2.622 Å, 34.20°, intensity 99
(-2 2 4), d = 2.223 Å, 40.59°, intensity 57
(2 -4 0), d = 1.623 Å, 56.70°, intensity 46



No. 6
For Ho2MoO6, DFT lattice parameters and positions (PBE+U) gives the computed powder diffraction line list in this record (Cu Kα (weighted mean of Kα1 and Kα2)).

Crystal structure
Lattice parameters (Å, degrees): 16.429 11.096 5.378 90.00 108.17 90.00
Space group C2/c (No. 15)
Asymmetric unit:
Ho 0.000 0.106 0.250 [4 per cell]
Ho 0.000 0.363 0.750 [4 per cell]
Ho 0.168 0.116 0.878 [8 per cell]
Mo 0.154 0.358 0.439 [8 per cell]
O 0.072 0.235 0.582 [8 per cell]
O 0.079 0.469 0.485 [8 per cell]
O 0.091 0.018 0.078 [8 per cell]
O 0.105 0.279 0.125 [8 per cell]
O 0.229 0.296 0.746 [8 per cell]
O 0.237 0.448 0.363 [8 per cell]

Largest 10 diffraction maxima, by angle, 2θ = 10–80°:
(2 2 1), d = 3.118 Å, 28.63°, intensity 100
(4 2 -1), d = 3.083 Å, 28.96°, intensity 93
(0 4 0), d = 2.774 Å, 32.27°, intensity 23
(2 0 -2), d = 2.689 Å, 33.33°, intensity 20
(6 0 0), d = 2.602 Å, 34.47°, intensity 19
(2 4 -2), d = 1.931 Å, 47.07°, intensity 26
(6 4 0), d = 1.898 Å, 47.94°, intensity 27
(4 0 2), d = 1.885 Å, 48.28°, intensity 15
(8 2 1), d = 1.589 Å, 58.04°, intensity 13
(10 2 -1), d = 1.575 Å, 58.60°, intensity 14